Theoretical powder X-ray diffraction pattern of SmTaCrO6 for Cu Kα (weighted mean of Kα1 and Kα2), from a crystal structure in Alexandria, relaxed with GGA+U.
Kinematic intensities with the Lorentz-polarization factor, no thermal factor.

Atomic structure:
```
data_SmTaCrO6
_chemical_formula_sum 'Sm2 Ta2 Cr2 O12'
_cell_length_a 4.862
_cell_length_b 4.862
_cell_length_c 9.628
_cell_angle_alpha 90.00
_cell_angle_beta 90.00
_cell_angle_gamma 90.00
_symmetry_space_group_name_H-M 'P 42 n m'
_symmetry_Int_Tables_number 102
_symmetry_space_group_name_Hall 'P 4n -2n'
loop_
_atom_site_label
_atom_site_fract_x
_atom_site_fract_y
_atom_site_fract_z
Sm1 0.000 0.000 0.000
Ta1 0.000 0.000 0.340
Cr1 0.000 0.000 0.672
O1 0.173 0.173 0.509
O2 0.214 0.214 0.816
O3 0.218 0.218 0.196
```

Peak list (10 most intense, 10 to 90 degrees two-theta, low angle first)
| hkl | 2theta | intensity |
| --- | --- | --- |
| 1 0 1 | 20.46 | 23 |
| 1 1 0 | 25.91 | 100 |
| 1 0 3 | 33.45 | 83 |
| 2 0 0 | 36.97 | 23 |
| 2 1 3 | 50.71 | 65 |
| 2 2 0 | 53.29 | 17 |
| 3 1 0 | 60.18 | 16 |
| 1 1 6 | 64.03 | 15 |
| 3 0 3 | 64.40 | 19 |
| 3 2 3 | 76.64 | 14 |